For ScSi3Pd3, a cell relaxed with PBE gives the calculated powder XRD pattern in this record (Cu Kα (weighted mean of Kα1 and Kα2)).
Peak positions follow from Bragg's law for the DFT cell and can differ from measured ones.

Structure:
Lattice parameters (Å, degrees): 6.558 6.558 6.558 90.00 90.00 90.00
Element x y z (fractional)
Sc (0.000, 0.000, 0.000)
Sc (0.500, 0.500, 0.500)
Si (0.000, 0.250, 0.500)
Si (0.000, 0.750, 0.500)
Si (0.250, 0.500, 0.000)
Si (0.500, 0.000, 0.250)
Si (0.500, 0.000, 0.750)
Si (0.750, 0.500, 0.000)
Pd (0.000, 0.500, 0.250)
Pd (0.000, 0.500, 0.750)
Pd (0.250, 0.000, 0.500)
Pd (0.500, 0.250, 0.000)
Pd (0.500, 0.750, 0.000)
Pd (0.750, 0.000, 0.500)

Most intense lines, 10° ≤ 2θ ≤ 90°, sorted by position:
d_spacing, Position (°2θ), Rel. int., (hkl)
4.637, 19.1, 53, 1 1 0
3.279, 27.2, 44, 2 0 0
2.933, 30.5, 98, 2 1 0
2.677, 33.5, 100, 2 1 1
1.893, 48.1, 48, 2 2 2
1.819, 50.2, 24, 3 2 0
1.753, 52.2, 54, 3 2 1
1.640, 56.1, 34, 4 0 0
1.431, 65.2, 22, 4 2 1
1.159, 83.4, 22, 4 4 0